No. 1
The following is a simulated powder diffractogram of PmHf4S8. It was derived from a cell relaxed with GGA-PBE, using Cu Kα, 1.54184 Å.
No peak broadening, texture or thermal motion is included.

Principal peaks in the range 15° ≤ 2θ ≤ 90°, by angle:
hkl, two_theta, Rel. int.
2 0 0, 16.6, 23
3 1 1, 27.6, 100
2 2 2, 28.9, 30
4 0 0, 33.5, 49
3 3 1, 36.6, 23
4 2 2, 41.3, 14
5 1 1, 43.9, 60
4 4 0, 48.0, 61
5 5 3, 67.1, 24
8 4 4, 89.7, 16

Cell and atoms:
```
data_PmHf4S8
_chemical_formula_sum 'Pm4 Hf16 S32'
_cell_length_a 10.7125
_cell_length_b 10.7125
_cell_length_c 10.7125
_cell_angle_alpha 90.00
_cell_angle_beta 90.00
_cell_angle_gamma 90.00
_symmetry_space_group_name_H-M 'F -4 3 m'
_symmetry_Int_Tables_number 216
_symmetry_space_group_name_Hall 'F -4 2 3'
loop_
_atom_site_label
_atom_site_fract_x
_atom_site_fract_y
_atom_site_fract_z
Pm1 0.0000 0.0000 0.0000
Hf1 0.1131 0.1131 0.6131
S1 0.1230 0.1230 0.3770
S2 0.1416 0.1416 0.8584
```

No. 2
The following is a simulated powder diffractogram of KTmCuTe2. It was derived from a cell relaxed with GGA-PBE, using Cu Kα, 1.54184 Å.
No peak broadening, texture or thermal motion is included.

Principal peaks in the range 15° ≤ 2θ ≤ 90°, by angle:
hkl, two_theta, Rel. int.
0 1 0, 20.1, 83
1 1 1, 25.4, 84
2 0 -2, 28.4, 93
2 0 2, 31.1, 79
1 1 2, 31.5, 92
2 1 -2, 35.0, 100
2 1 2, 37.3, 94
0 0 4, 41.7, 61
3 1 -2, 42.3, 76
4 0 0, 43.4, 56

Cell and atoms:
```
data_KTmCuTe2
_chemical_formula_sum 'K2 Tm2 Cu2 Te4'
_cell_length_a 8.3645
_cell_length_b 4.4283
_cell_length_c 8.6947
_cell_angle_alpha 90.00
_cell_angle_beta 95.06
_cell_angle_gamma 90.00
_symmetry_space_group_name_H-M 'P 1 2/c 1'
_symmetry_Int_Tables_number 13
loop_
_symmetry_equiv_pos_as_xyz
'x,y,z'
'-x,-y,-z'
'-x,y,-z+1/2'
'x,-y,z+1/2'
loop_
_atom_site_label
_atom_site_fract_x
_atom_site_fract_y
_atom_site_fract_z
K1 0.0000 0.1096 0.2500
Tm1 0.5000 0.4962 0.7500
Cu1 0.5000 0.0000 0.0000
Te1 0.2601 0.3650 0.9808
```

No. 3
The following is a simulated powder diffractogram of CuNi6Pd8. It was derived from a cell relaxed with GGA-PBE, using Cu Kα, 1.54184 Å.
No peak broadening, texture or thermal motion is included.

Principal peaks in the range 15° ≤ 2θ ≤ 90°, by angle:
hkl, two_theta, Rel. int.
2 2 0, 38.1, 35
2 0 1, 39.5, 100
1 3 0, 39.8, 91
1 2 1, 44.1, 74
3 0 1, 47.0, 20
2 3 0, 48.5, 22
4 1 0, 51.2, 16
4 -3 1, 52.3, 18
3 4 1, 79.4, 17
4 -1 2, 82.0, 19

Cell and atoms:
```
data_CuNi6Pd8
_chemical_formula_sum 'Cu1 Ni6 Pd8'
_cell_length_a 9.4391
_cell_length_b 9.4391
_cell_length_c 2.7478
_cell_angle_alpha 90.00
_cell_angle_beta 90.00
_cell_angle_gamma 120.00
_symmetry_space_group_name_H-M 'P -3'
_symmetry_Int_Tables_number 147
loop_
_symmetry_equiv_pos_as_xyz
'x,y,z'
'-x,-y,-z'
'-y,x-y,z'
'y,-x+y,-z'
'-x+y,-x,z'
'x-y,x,-z'
loop_
_atom_site_label
_atom_site_fract_x
_atom_site_fract_y
_atom_site_fract_z
Cu1 0.0000 0.0000 0.0000
Ni1 0.0872 0.6082 0.7534
Pd1 0.0859 0.3022 0.7375
Pd2 0.3333 0.6667 0.2519
```

No. 4
The following is a simulated powder diffractogram of Ce5YTe8. It was derived from a cell relaxed with GGA-PBE, using Cu Kα, 1.54184 Å.
No peak broadening, texture or thermal motion is included.

Principal peaks in the range 15° ≤ 2θ ≤ 90°, by angle:
hkl, two_theta, Rel. int.
1 0 3, 29.6, 48
1 3 0, 29.8, 100
1 2 3, 35.3, 41
3 2 1, 35.4, 66
4 0 2, 42.6, 15
2 3 3, 44.8, 15
4 2 2, 46.9, 17
3 5 2, 60.1, 14
6 1 1, 60.2, 13
5 5 2, 73.4, 13

Cell and atoms:
```
data_Ce5YTe8
_chemical_formula_sum 'Ce10 Y2 Te16'
_cell_length_a 9.4731
_cell_length_b 9.4731
_cell_length_c 9.5474
_cell_angle_alpha 90.00
_cell_angle_beta 90.00
_cell_angle_gamma 90.00
_symmetry_space_group_name_H-M 'I -4'
_symmetry_Int_Tables_number 82
loop_
_symmetry_equiv_pos_as_xyz
'x,y,z'
'y,-x,-z'
'-x,-y,z'
'-y,x,-z'
'x+1/2,y+1/2,z+1/2'
'y+1/2,-x+1/2,-z+1/2'
'-x+1/2,-y+1/2,z+1/2'
'-y+1/2,x+1/2,-z+1/2'
loop_
_atom_site_label
_atom_site_fract_x
_atom_site_fract_y
_atom_site_fract_z
Ce1 0.0000 0.0000 0.0000
Ce2 0.1244 0.2500 0.3747
Y1 0.0000 0.5000 0.7500
Te1 0.0741 0.1786 0.7025
Te2 0.0767 0.3267 0.0472
```

No. 5
The following is a simulated powder diffractogram of Pm2Pr2Y7. It was derived from a cell relaxed with GGA-PBE, using Cu Kα, 1.54184 Å.
No peak broadening, texture or thermal motion is included.

Principal peaks in the range 15° ≤ 2θ ≤ 90°, by angle:
hkl, two_theta, Rel. int.
1 1 -2, 23.4, 16
1 3 0, 30.2, 20
3 1 0, 30.2, 41
2 2 1, 30.4, 93
1 3 -1, 31.4, 72
0 0 3, 32.0, 100
1 1 -3, 33.0, 17
3 1 -2, 33.6, 30
1 3 2, 38.3, 23
2 2 -5, 58.0, 20

Cell and atoms:
```
data_Pm2Pr2Y7
_chemical_formula_sum 'Pm4 Pr4 Y14'
_cell_length_a 9.5449
_cell_length_b 9.3708
_cell_length_c 8.5651
_cell_angle_alpha 90.00
_cell_angle_beta 101.49
_cell_angle_gamma 90.00
_symmetry_space_group_name_H-M 'C 1 2/m 1'
_symmetry_Int_Tables_number 12
loop_
_symmetry_equiv_pos_as_xyz
'x,y,z'
'-x,-y,-z'
'-x,y,-z'
'x,-y,z'
'x+1/2,y+1/2,z'
'-x+1/2,-y+1/2,-z'
'-x+1/2,y+1/2,-z'
'x+1/2,-y+1/2,z'
loop_
_atom_site_label
_atom_site_fract_x
_atom_site_fract_y
_atom_site_fract_z
Pm1 0.0000 0.1786 0.0000
Pr1 0.1090 0.5000 0.3615
Y1 0.0000 0.0000 0.5000
Y2 0.1873 0.5000 0.0182
Y3 0.1989 0.2987 0.6891
```

No. 6
The following is a simulated powder diffractogram of La3Tc2. It was derived from a cell relaxed with GGA-PBE, using Cu Kα, 1.54184 Å.
No peak broadening, texture or thermal motion is included.

Principal peaks in the range 15° ≤ 2θ ≤ 90°, by angle:
hkl, two_theta, Rel. int.
1 1 3, 24.7, 32
0 4 0, 30.8, 76
1 1 5, 34.0, 80
2 2 0, 35.9, 100
1 3 5, 40.6, 49
1 5 5, 51.8, 24
2 6 0, 58.1, 28
3 1 5, 58.7, 16
2 2 8, 60.3, 26
2 6 8, 77.7, 16

Cell and atoms:
```
data_La3Tc2
_chemical_formula_sum 'La24 Tc16'
_cell_length_a 5.5419
_cell_length_b 11.6146
_cell_length_c 15.5433
_cell_angle_alpha 90.00
_cell_angle_beta 90.00
_cell_angle_gamma 90.00
_symmetry_space_group_name_H-M 'F d d d'
_symmetry_Int_Tables_number 70
loop_
_symmetry_equiv_pos_as_xyz
'x,y,z'
'-x,-y,-z'
'-x+1/4,-y+1/4,z'
'x+1/4,y+1/4,-z'
'x,-y+1/4,-z+1/4'
'-x,y+1/4,z+1/4'
'-x+1/4,y,-z+1/4'
'x+1/4,-y,z+1/4'
'x,y+1/2,z+1/2'
'-x,-y+1/2,-z+1/2'
'-x+1/4,-y+3/4,z+1/2'
'x+1/4,y+3/4,-z+1/2'
'x,-y+3/4,-z+3/4'
'-x,y+3/4,z+3/4'
'-x+1/4,y+1/2,-z+3/4'
'x+1/4,-y+1/2,z+3/4'
'x+1/2,y,z+1/2'
'-x+1/2,-y,-z+1/2'
'-x+3/4,-y+1/4,z+1/2'
'x+3/4,y+1/4,-z+1/2'
'x+1/2,-y+1/4,-z+3/4'
'-x+1/2,y+1/4,z+3/4'
'-x+3/4,y,-z+3/4'
'x+3/4,-y,z+3/4'
'x+1/2,y+1/2,z'
'-x+1/2,-y+1/2,-z'
'-x+3/4,-y+3/4,z'
'x+3/4,y+3/4,-z'
'x+1/2,-y+3/4,-z+1/4'
'-x+1/2,y+3/4,z+1/4'
'-x+3/4,y+1/2,-z+1/4'
'x+3/4,-y+1/2,z+1/4'
loop_
_atom_site_label
_atom_site_fract_x
_atom_site_fract_y
_atom_site_fract_z
La1 0.1250 0.1250 0.0082
La2 0.1250 0.1250 0.6250
Tc1 0.1250 0.1250 0.3981
```

No. 7
The following is a simulated powder diffractogram of PaTl2I4Cl2. It was derived from a cell relaxed with GGA-PBE, using Cu Kα, 1.54184 Å.
No peak broadening, texture or thermal motion is included.

Principal peaks in the range 15° ≤ 2θ ≤ 90°, by angle:
hkl, two_theta, Rel. int.
1 1 1, 19.5, 74
3 1 -1, 22.4, 86
2 2 0, 24.9, 28
2 2 -1, 25.7, 92
2 2 1, 30.3, 30
2 2 -2, 32.3, 100
4 0 1, 34.2, 28
4 2 0, 34.5, 46
0 4 0, 42.3, 42
5 1 -3, 43.2, 27

Cell and atoms:
```
data_PaTl2I4Cl2
_chemical_formula_sum 'Pa2 Tl4 I8 Cl4'
_cell_length_a 14.0397
_cell_length_b 8.5454
_cell_length_c 7.4161
_cell_angle_alpha 90.00
_cell_angle_beta 110.96
_cell_angle_gamma 90.00
_symmetry_space_group_name_H-M 'C 1 2/m 1'
_symmetry_Int_Tables_number 12
loop_
_symmetry_equiv_pos_as_xyz
'x,y,z'
'-x,-y,-z'
'-x,y,-z'
'x,-y,z'
'x+1/2,y+1/2,z'
'-x+1/2,-y+1/2,-z'
'-x+1/2,y+1/2,-z'
'x+1/2,-y+1/2,z'
loop_
_atom_site_label
_atom_site_fract_x
_atom_site_fract_y
_atom_site_fract_z
Pa1 0.0000 0.0000 0.0000
Tl1 0.2228 0.5000 0.2098
I1 0.0882 0.2526 0.8103
Cl1 0.1687 0.0000 0.2999
```

No. 8
The following is a simulated powder diffractogram of Ac4TbY2. It was derived from a cell relaxed with GGA-PBE, using Cu Kα, 1.54184 Å.
No peak broadening, texture or thermal motion is included.

Principal peaks in the range 15° ≤ 2θ ≤ 90°, by angle:
hkl, two_theta, Rel. int.
1 1 3, 28.7, 100
2 2 -1, 29.9, 43
1 3 -3, 30.3, 29
2 2 0, 30.7, 24
1 3 -4, 35.0, 21
1 5 2, 41.5, 12
3 1 -5, 48.0, 16
0 2 7, 52.2, 9
2 0 6, 57.4, 11
2 4 -7, 58.8, 10

Cell and atoms:
```
data_Ac4TbY2
_chemical_formula_sum 'Ac16 Tb4 Y8'
_cell_length_a 6.7545
_cell_length_b 12.8590
_cell_length_c 13.2000
_cell_angle_alpha 90.00
_cell_angle_beta 104.82
_cell_angle_gamma 90.00
_symmetry_space_group_name_H-M 'C 1 c 1'
_symmetry_Int_Tables_number 9
loop_
_symmetry_equiv_pos_as_xyz
'x,y,z'
'x,-y,z+1/2'
'x+1/2,y+1/2,z'
'x+1/2,-y+1/2,z+1/2'
loop_
_atom_site_label
_atom_site_fract_x
_atom_site_fract_y
_atom_site_fract_z
Ac1 0.0000 0.0591 0.0000
Ac2 0.2081 0.3097 0.9211
Ac3 0.3057 0.1766 0.5719
Ac4 0.4477 0.0761 0.8494
Tb1 0.3756 0.3743 0.2103
Y1 0.0511 0.4001 0.6454
Y2 0.1166 0.1475 0.2765
```

No. 9
The following is a simulated powder diffractogram of CsAsPIrO. It was derived from a cell relaxed with GGA-PBE, using Cu Kα, 1.54184 Å.
No peak broadening, texture or thermal motion is included.

Principal peaks in the range 15° ≤ 2θ ≤ 90°, by angle:
hkl, two_theta, Rel. int.
0 0 2, 22.5, 100
2 0 -1, 23.2, 62
1 1 -1, 27.0, 68
2 0 1, 27.8, 66
1 1 1, 29.1, 70
1 1 -2, 32.6, 71
3 1 -1, 41.4, 34
3 1 0, 42.0, 33
0 2 0, 46.9, 41
1 1 -4, 50.9, 38

Cell and atoms:
```
data_CsAsPIrO
_chemical_formula_sum 'Cs2 As2 P2 Ir2 O2'
_cell_length_a 7.9590
_cell_length_b 3.8775
_cell_length_c 8.0999
_cell_angle_alpha 90.00
_cell_angle_beta 102.94
_cell_angle_gamma 90.00
_symmetry_space_group_name_H-M 'C 1 m 1'
_symmetry_Int_Tables_number 8
loop_
_symmetry_equiv_pos_as_xyz
'x,y,z'
'x,-y,z'
'x+1/2,y+1/2,z'
'x+1/2,-y+1/2,z'
loop_
_atom_site_label
_atom_site_fract_x
_atom_site_fract_y
_atom_site_fract_z
Cs1 0.0000 0.0000 0.0000
As1 0.4096 0.0000 0.3737
P1 0.2309 0.0000 0.6014
Ir1 0.2263 0.5000 0.4596
O1 0.2598 0.0000 0.7964
```

No. 10
The following is a simulated powder diffractogram of TlGePb. It was derived from a cell relaxed with GGA-PBE, using Cu Kα, 1.54184 Å.
No peak broadening, texture or thermal motion is included.

Principal peaks in the range 15° ≤ 2θ ≤ 90°, by angle:
hkl, two_theta, Rel. int.
1 1 3, 30.2, 97
1 3 1, 30.5, 100
2 0 0, 32.0, 24
0 2 4, 36.5, 29
0 4 2, 36.9, 25
2 2 2, 39.7, 27
3 1 3, 55.9, 18
3 3 1, 56.1, 19
2 4 4, 57.9, 21
4 0 0, 66.8, 22

Cell and atoms:
```
data_TlGePb
_chemical_formula_sum 'Tl8 Ge8 Pb8'
_cell_length_a 5.5984
_cell_length_b 10.8671
_cell_length_c 11.0427
_cell_angle_alpha 90.00
_cell_angle_beta 90.00
_cell_angle_gamma 90.00
_symmetry_space_group_name_H-M 'F m m m'
_symmetry_Int_Tables_number 69
_symmetry_space_group_name_Hall '-F 2 2'
loop_
_atom_site_label
_atom_site_fract_x
_atom_site_fract_y
_atom_site_fract_z
Tl1 0.0000 0.0000 0.1550
Ge1 0.2500 0.2500 0.2500
Pb1 0.0000 0.1589 0.5000
```